CdInPt14: simulated powder diffractogram (λ = 1.5418 Å (Cu Kα)), based on the GGA-PBE geometry in Alexandria.

Crystal structure
```
CdInPt14
1.0
9.3792 0.0000 0.0000
0.0000 2.8373 4.8513
0.0000 -2.8373 4.8513
Cd In Pt
1 1 14
direct
0.0000 0.0000 0.0000
0.0000 0.5007 0.5007
0.0000 0.9997 0.4998
0.0000 0.4998 0.9997
0.2497 0.3290 0.3290
0.2515 0.3303 0.8297
0.2507 0.8291 0.8291
0.2515 0.8297 0.3303
0.5000 0.1610 0.6606
0.5000 0.1616 0.1616
0.5000 0.6606 0.1610
0.5000 0.6617 0.6617
0.7485 0.3303 0.8297
0.7493 0.8291 0.8291
0.7485 0.8297 0.3303
0.7503 0.3290 0.3290
```

Main lines, by angle (2θ from 15° to 90°):
2θ = 38.0°, I 35
2θ = 38.4°, I 70
2θ = 41.6°, I 100
2θ = 41.9°, I 44
2θ = 47.1°, I 19
2θ = 47.4°, I 10
2θ = 65.8°, I 11
2θ = 66.6°, I 21
2θ = 71.6°, I 20
2θ = 78.8°, I 18
2θ = 79.5°, I 25
2θ = 81.2°, I 13